1.
Simulated powder XRD pattern
Compound: La4Cd2Rh
Radiation: λ = 1.5418 Å (Cu Kα)
Structure: DFT lattice parameters and positions (PBE)

Structure:
```
14
Lattice="2.029 -5.565 0.000 2.029 5.565 0.000 0.000 0.000 19.124" Properties=species:S:1:pos:R:3 pbc="T T T"
La 0.000 0.000 0.000
La 0.000 0.000 9.562
La 2.029 2.023 14.343
La 2.029 0.992 2.825
La 2.029 0.992 6.737
La 2.029 -0.992 12.388
La 2.029 -0.992 16.299
La 2.029 -2.023 4.781
Cd 2.029 2.328 10.775
Cd 2.029 2.328 17.912
Cd 2.029 -2.328 1.213
Cd 2.029 -2.328 8.350
Rh 2.029 5.190 14.343
Rh 2.029 -5.190 4.781
```

Most intense lines, 10 to 90 degrees two-theta, by intensity:
| d (Å) | I (rel.) |
| --- | --- |
| 2.700 | 100 |
| 2.981 | 77 |
| 2.738 | 63 |
| 3.152 | 52 |
| 2.753 | 46 |
| 2.029 | 38 |
| 1.634 | 31 |
| 2.376 | 30 |

=====

2.
Simulated powder XRD pattern
Compound: La15Cd2Rh5
Radiation: λ = 1.5418 Å (Cu Kα)
Structure: DFT lattice parameters and positions (PBE)

Structure:
```
44
Lattice="5.080 2.933 14.806 -5.080 2.933 14.806 0.000 -5.866 14.806" Properties=species:S:1:pos:R:3 pbc="T T T"
La 0.000 0.000 0.113
La 0.000 -2.309 10.041
La -2.000 1.154 10.041
La -1.908 -1.101 17.026
La 0.000 0.000 6.900
La 0.000 -2.221 13.817
La -1.923 1.110 13.817
La -1.924 -1.111 23.340
La 0.000 -2.228 20.183
La -1.930 1.114 20.183
La -3.139 -1.812 32.892
La -1.884 -1.088 29.611
La 0.000 -2.213 26.495
La -1.916 1.106 26.495
La 2.000 1.154 10.041
La 1.908 -1.101 17.026
La 0.000 2.203 17.026
La -1.956 -1.129 36.266
La 1.923 1.110 13.817
La 1.924 -1.111 23.340
La 0.000 2.222 23.340
La 1.930 1.114 20.183
La 0.000 0.000 33.144
La 1.884 -1.088 29.611
La 0.000 2.176 29.611
La 1.916 1.106 26.495
La 1.956 -1.129 36.266
La 0.000 2.258 36.266
La 3.139 -1.812 32.892
La 0.000 3.624 32.892
Cd -3.460 -1.998 26.670
Cd 3.460 -1.998 26.670
Cd 0.000 3.995 26.670
Cd 0.000 0.000 38.857
Rh -2.866 -1.655 19.877
Rh 0.000 -3.333 16.428
Rh -2.886 1.666 16.428
Rh 0.000 0.000 11.944
Rh 0.000 -3.271 23.230
Rh -2.833 1.635 23.230
Rh 2.866 -1.655 19.877
Rh 0.000 3.310 19.877
Rh 2.886 1.666 16.428
Rh 2.833 1.635 23.230
```

Most intense lines, 10 to 90 degrees two-theta, by intensity:
| d (Å) | I (rel.) |
| --- | --- |
| 2.727 | 100 |
| 2.853 | 84 |
| 2.946 | 82 |
| 2.540 | 65 |
| 2.571 | 61 |
| 1.694 | 55 |
| 2.699 | 54 |
| 1.716 | 50 |

=====

3.
Simulated powder XRD pattern
Compound: La2ZnCdRh
Radiation: λ = 1.5418 Å (Cu Kα)
Structure: DFT lattice parameters and positions (PBE)

Structure:
```
10
Lattice="7.415 0.000 0.000 0.000 4.538 0.000 -2.423 0.000 7.662" Properties=species:S:1:pos:R:3 pbc="T T T"
La 0.190 1.134 2.613
La -0.272 1.134 7.249
La 5.264 3.403 0.413
La 4.803 3.403 5.049
Zn 2.540 3.403 2.468
Zn 2.452 1.134 5.194
Cd 0.917 3.403 4.980
Cd 4.075 1.134 2.681
Rh 0.713 3.403 0.681
Rh 4.279 1.134 6.981
```

Most intense lines, 10 to 90 degrees two-theta, by intensity:
| d (Å) | I (rel.) |
| --- | --- |
| 2.927 | 100 |
| 2.563 | 81 |
| 2.269 | 61 |
| 2.441 | 56 |
| 1.695 | 46 |
| 2.895 | 41 |
| 2.554 | 38 |
| 2.956 | 35 |

=====

4.
Simulated powder XRD pattern
Compound: La4CdRu2
Radiation: λ = 1.5418 Å (Cu Kα)
Structure: DFT lattice parameters and positions (PBE)

Structure:
```
14
Lattice="7.650 0.000 0.000 -0.376 7.675 0.000 -2.236 -2.321 7.143" Properties=species:S:1:pos:R:3 pbc="T T T"
La 0.000 0.000 0.000
La -1.451 6.134 3.534
La -2.136 1.704 6.357
La 2.519 2.666 1.572
La 2.194 6.391 2.574
La 1.757 1.488 5.167
La 1.329 5.521 6.157
La 6.189 2.369 2.429
Cd 3.709 4.072 4.363
Cd 4.881 5.179 0.782
Ru -0.471 -0.164 5.803
Ru 0.523 0.736 2.890
Ru 0.793 4.094 2.866
Ru 3.889 -0.737 5.769
```

Most intense lines, 10 to 90 degrees two-theta, by intensity:
| d (Å) | I (rel.) |
| --- | --- |
| 2.994 | 100 |
| 2.776 | 85 |
| 2.873 | 64 |
| 2.410 | 57 |
| 3.070 | 31 |
| 3.009 | 29 |
| 6.140 | 27 |
| 2.540 | 22 |

=====

5.
Simulated powder XRD pattern
Compound: La4Cd3Ru
Radiation: λ = 1.5418 Å (Cu Kα)
Structure: DFT lattice parameters and positions (PBE)

Structure:
```
8
Lattice="-3.831 3.831 3.831 3.831 -3.831 3.831 3.831 3.831 -3.831" Properties=species:S:1:pos:R:3 pbc="T T T"
La 1.915 1.915 -1.915
La 1.915 -1.915 1.915
La -1.915 1.915 1.915
La 1.915 1.915 1.915
Cd 3.831 0.000 0.000
Cd 0.000 3.831 0.000
Cd 0.000 0.000 3.831
Ru 0.000 0.000 0.000
```

Most intense lines, 10 to 90 degrees two-theta, by intensity:
| d (Å) | I (rel.) |
| --- | --- |
| 2.709 | 100 |
| 1.564 | 37 |
| 1.915 | 18 |
| 1.211 | 16 |
| 1.354 | 11 |
| 1.106 | 4 |
| 3.831 | 1 |
| 1.713 | 1 |

=====

6.
Simulated powder XRD pattern
Compound: La5Cd4Ru2
Radiation: λ = 1.5418 Å (Cu Kα)
Structure: DFT lattice parameters and positions (PBE)

Structure:
```
22
Lattice="8.265 0.000 0.000 0.000 18.579 0.000 0.000 0.000 3.887" Properties=species:S:1:pos:R:3 pbc="T T T"
La 0.000 0.000 0.000
La 0.982 7.564 0.000
La 1.990 13.382 0.000
La 2.142 4.093 0.000
La 3.151 16.854 0.000
La 4.132 9.289 0.000
La 5.114 1.725 0.000
La 6.123 14.486 0.000
La 6.274 5.197 0.000
La 7.283 11.015 0.000
Cd 0.458 15.766 1.943
Cd 1.712 10.530 1.943
Cd 2.420 1.240 1.943
Cd 3.674 6.477 1.943
Cd 4.590 12.102 1.943
Cd 5.845 17.339 1.943
Cd 6.552 8.049 1.943
Cd 7.807 2.813 1.943
Ru 0.209 5.722 1.943
Ru 3.923 15.012 1.943
Ru 4.341 3.567 1.943
Ru 8.056 12.857 1.943
```

Most intense lines, 10 to 90 degrees two-theta, by intensity:
| d (Å) | I (rel.) |
| --- | --- |
| 2.708 | 100 |
| 2.803 | 89 |
| 2.641 | 38 |
| 2.575 | 37 |
| 2.554 | 36 |
| 2.527 | 32 |
| 1.943 | 32 |
| 2.478 | 31 |

=====

7.
Simulated powder XRD pattern
Compound: La11Cd9Ru4
Radiation: λ = 1.5418 Å (Cu Kα)
Structure: DFT lattice parameters and positions (PBE)

Structure:
```
24
Lattice="7.478 -11.191 0.000 7.478 11.191 0.000 0.000 0.000 3.930" Properties=species:S:1:pos:R:3 pbc="T T T"
La 0.000 0.000 0.000
La 3.797 3.707 0.000
La 7.478 7.638 0.000
La 4.678 0.000 0.000
La 7.478 2.808 0.000
La 3.797 -3.707 0.000
La 11.158 3.707 0.000
La 7.478 -2.808 0.000
La 10.278 0.000 0.000
La 7.478 -7.638 0.000
La 11.158 -3.707 0.000
Cd 2.207 1.562 1.965
Cd 5.945 5.352 1.965
Cd 2.207 -1.562 1.965
Cd 9.011 5.352 1.965
Cd 7.478 0.000 1.965
Cd 5.945 -5.352 1.965
Cd 12.748 1.562 1.965
Cd 9.011 -5.352 1.965
Cd 12.748 -1.562 1.965
Ru 5.227 2.320 1.965
Ru 5.227 -2.320 1.965
Ru 9.728 2.320 1.965
Ru 9.728 -2.320 1.965
```

Most intense lines, 10 to 90 degrees two-theta, by intensity:
| d (Å) | I (rel.) |
| --- | --- |
| 2.707 | 100 |
| 2.641 | 37 |
| 2.435 | 19 |
| 2.542 | 18 |
| 1.965 | 17 |
| 1.577 | 15 |
| 2.852 | 11 |
| 2.453 | 11 |

=====

8.
Simulated powder XRD pattern
Compound: LaCd4Sb
Radiation: λ = 1.5418 Å (Cu Kα)
Structure: DFT lattice parameters and positions (PBE)

Structure:
```
6
Lattice="0.000 4.273 4.273 4.273 0.000 4.273 4.273 4.273 0.000" Properties=species:S:1:pos:R:3 pbc="T T T"
La 0.000 0.000 0.000
Cd 3.207 3.207 3.207
Cd 5.339 5.339 3.207
Cd 5.339 3.207 5.339
Cd 3.207 5.339 5.339
Sb 6.409 6.409 6.409
```

Most intense lines, 10 to 90 degrees two-theta, by intensity:
| d (Å) | I (rel.) |
| --- | --- |
| 2.577 | 100 |
| 2.467 | 37 |
| 1.645 | 33 |
| 3.021 | 30 |
| 1.511 | 28 |
| 1.113 | 21 |
| 1.288 | 13 |
| 1.744 | 12 |

=====

9.
Simulated powder XRD pattern
Compound: La2ScCd6
Radiation: λ = 1.5418 Å (Cu Kα)
Structure: DFT lattice parameters and positions (PBE)

Structure:
```
9
Lattice="8.804 0.000 0.000 -4.402 7.624 0.000 0.000 0.000 3.398" Properties=species:S:1:pos:R:3 pbc="T T T"
La 0.000 5.083 0.000
La 4.402 2.541 0.000
Sc 0.000 0.000 0.000
Cd -1.426 2.469 1.699
Cd -2.976 5.155 1.699
Cd 2.851 0.000 1.699
Cd 1.426 2.469 1.699
Cd 5.952 0.000 1.699
Cd 2.976 5.155 1.699
```

Most intense lines, 10 to 90 degrees two-theta, by intensity:
| d (Å) | I (rel.) |
| --- | --- |
| 2.690 | 100 |
| 2.541 | 98 |
| 1.847 | 32 |
| 1.494 | 31 |
| 1.412 | 29 |
| 1.467 | 16 |
| 1.110 | 13 |
| 2.035 | 13 |

=====

10.
Simulated powder XRD pattern
Compound: LaSc4Cd5
Radiation: λ = 1.5418 Å (Cu Kα)
Structure: DFT lattice parameters and positions (PBE)

Structure:
```
10
Lattice="3.144 0.000 0.000 0.000 3.144 0.000 0.000 0.000 25.394" Properties=species:S:1:pos:R:3 pbc="T T T"
La 0.000 0.000 0.000
Sc 0.000 0.000 3.263
Sc 0.000 0.000 7.600
Sc 0.000 0.000 17.794
Sc 0.000 0.000 22.130
Cd 1.572 1.572 5.417
Cd 1.572 1.572 9.803
Cd 1.572 1.572 12.697
Cd 1.572 1.572 15.591
Cd 1.572 1.572 19.977
```

Most intense lines, 10 to 90 degrees two-theta, by intensity:
| d (Å) | I (rel.) |
| --- | --- |
| 2.376 | 100 |
| 3.120 | 73 |
| 2.223 | 67 |
| 5.079 | 30 |
| 2.947 | 29 |
| 2.673 | 28 |
| 1.311 | 28 |
| 1.673 | 26 |

=====

11.
Simulated powder XRD pattern
Compound: La5ScCd4
Radiation: λ = 1.5418 Å (Cu Kα)
Structure: DFT lattice parameters and positions (PBE)

Structure:
```
10
Lattice="3.917 0.000 0.000 0.000 3.917 0.000 0.000 0.000 20.005" Properties=species:S:1:pos:R:3 pbc="T T T"
La 0.000 0.000 0.000
La 0.000 0.000 3.960
La 0.000 0.000 7.923
La 0.000 0.000 12.083
La 0.000 0.000 16.045
Sc 1.958 1.958 10.003
Cd 1.958 1.958 1.966
Cd 1.958 1.958 6.003
Cd 1.958 1.958 14.002
Cd 1.958 1.958 18.039
```

Most intense lines, 10 to 90 degrees two-theta, by intensity:
| d (Å) | I (rel.) |
| --- | --- |
| 2.799 | 100 |
| 2.769 | 49 |
| 1.605 | 36 |
| 1.622 | 19 |
| 1.958 | 18 |
| 1.399 | 11 |
| 2.001 | 9 |
| 1.262 | 8 |

=====

12.
Simulated powder XRD pattern
Compound: LaSc3Cd4
Radiation: λ = 1.5418 Å (Cu Kα)
Structure: DFT lattice parameters and positions (PBE)

Structure:
```
16
Lattice="10.175 0.000 0.000 0.000 7.516 0.000 0.000 0.000 5.087" Properties=species:S:1:pos:R:3 pbc="T T T"
La 0.000 0.000 0.000
La 5.087 0.000 0.000
Sc 0.000 3.758 0.000
Sc 2.544 0.000 2.539
Sc 2.544 3.758 2.539
Sc 5.087 3.758 0.000
Sc 7.631 0.000 2.548
Sc 7.631 3.758 2.547
Cd 0.000 2.064 2.543
Cd 0.000 5.451 2.543
Cd 2.544 2.064 5.081
Cd 2.544 5.451 5.081
Cd 5.087 2.064 2.543
Cd 5.087 5.451 2.543
Cd 7.631 2.064 0.005
Cd 7.631 5.451 0.005
```

Most intense lines, 10 to 90 degrees two-theta, by intensity:
| d (Å) | I (rel.) |
| --- | --- |
| 2.599 | 100 |
| 2.544 | 50 |
| 1.479 | 33 |
| 1.799 | 17 |
| 1.511 | 15 |
| 3.245 | 9 |
| 1.299 | 9 |
| 3.597 | 8 |